Simulated powder diffraction line list
Compound: Na4GeO4
Radiation: Cu Ka
Structure: a cell relaxed with GGA-PBE

Atomic structure:
abc: 5.7500 5.7667 8.7024
angles: 81.57 71.40 68.18
Space group P-1 (No. 2)
One atom of each set of equivalent atoms:
1 Na 0.0199 0.2649 0.4344
2 Na 0.1087 0.7279 0.1795
3 Na 0.2593 0.2434 0.0121
4 Na 0.4466 0.2419 0.6023
5 Ge 0.3433 0.7218 0.7562
6 O 0.1415 0.5314 0.8051
7 O 0.2044 0.9734 0.6258
8 O 0.3371 0.4682 0.3604
9 O 0.3525 0.8451 0.9284

Peak list (10 most intense, 2θ from 5° to 70°, most intense first)
index	2θ (°)	I (rel.)
2 0 1	33.54	100.0
1 0 1	17.59	72.9
2 2 1	37.73	72.2
-1 1 2	38.39	71.2
1 -1 3	39.73	70.6
1 1 -2	33.15	59.3
0 1 -1	20.07	49.5
1 1 0	19.40	48.5
0 1 1	19.49	46.5
1 0 -1	22.96	43.2


Simulated powder diffraction line list
Compound: Na2Ge2O5
Radiation: Cu Ka
Structure: a cell relaxed with GGA-PBE

Atomic structure:
abc: 8.5122 5.0554 12.7078
angles: 90.00 103.50 90.00
Space group P2_1/c (No. 14)
One atom of each set of equivalent atoms:
1 Na 0.1191 0.2418 0.0536
2 Na 0.3602 0.7183 0.5265
3 Ge 0.0992 0.7035 0.2226
4 Ge 0.4776 0.6817 0.8223
5 O 0.0585 0.1480 0.7249
6 O 0.1118 0.7223 0.5921
7 O 0.2737 0.7461 0.8322
8 O 0.3940 0.2472 0.0550
9 O 0.4884 0.1692 0.2981

Peak list (10 most intense, 2θ from 5° to 70°, most intense first)
index	2θ (°)	I (rel.)
0 0 2	14.34	100.0
1 1 -2	23.67	92.3
0 2 0	35.52	58.7
2 0 0	21.47	57.8
2 0 2	28.63	45.4
1 1 0	20.59	41.6
1 1 -4	33.56	32.8
3 0 -2	32.30	26.6
2 1 2	33.77	24.0
1 0 6	47.94	23.5


Simulated powder diffraction line list
Compound: Na2Ge2O5
Radiation: Cu Ka
Structure: a cell relaxed with GGA-PBE

Atomic structure:
abc: 5.0414 12.4626 10.1033
angles: 90.00 119.41 90.00
Space group P2_1/c (No. 14)
One atom of each set of equivalent atoms:
1 Na 0.1057 0.0371 0.3798
2 Na 0.3919 0.5025 0.6296
3 Ge 0.0211 0.1760 0.8247
4 Ge 0.3587 0.6952 0.0525
5 O 0.0711 0.7168 0.8614
6 O 0.1313 0.0438 0.8665
7 O 0.2788 0.2197 0.4372
8 O 0.3067 0.6936 0.6501
9 O 0.3591 0.5662 0.1151

Peak list (10 most intense, 2θ from 5° to 70°, most intense first)
index	2θ (°)	I (rel.)
0 1 2	21.42	100.0
1 2 -1	22.69	50.4
0 2 0	14.21	39.4
2 0 -2	35.62	36.1
1 4 -1	33.81	28.3
1 1 -4	36.31	17.9
0 7 2	55.68	15.6
0 3 3	37.53	15.5
0 2 1	17.44	15.3
1 3 1	34.52	15.1


Simulated powder diffraction line list
Compound: Na2Ge2O5
Radiation: Cu Ka
Structure: a cell relaxed with GGA-PBE

Atomic structure:
abc: 6.6125 5.0870 16.3086
angles: 90.00 90.00 90.00
Space group Pbcn (No. 60)
One atom of each set of equivalent atoms:
1 Na 0.0999 0.2223 0.0561
2 Ge 0.1001 0.3048 0.8453
3 O 0.0000 0.2033 0.7500
4 O 0.0556 0.2361 0.5724
5 O 0.1542 0.3479 0.3518

Peak list (10 most intense, 2θ from 5° to 70°, most intense first)
index	2θ (°)	I (rel.)
1 1 1	22.72	100.0
1 0 2	17.27	65.9
1 0 4	25.67	50.6
0 0 4	21.80	42.5
0 2 0	35.29	38.9
1 1 5	35.40	29.8
2 1 1	32.77	27.9
2 1 3	36.38	23.8
3 0 4	46.85	21.8
2 1 2	34.16	16.8


Simulated powder diffraction line list
Compound: NaGe2P3O12
Radiation: Cu Ka
Structure: a cell relaxed with GGA-PBE

Atomic structure:
abc: 8.2199 8.2199 21.8362
angles: 90.00 90.00 120.00
Space group R-3 (No. 148, hexagonal axes)
One atom of each set of equivalent atoms:
1 Na 0.0000 0.0000 0.0000
2 Na 0.0000 0.0000 0.5000
3 Ge 0.0000 0.0000 0.1443
4 Ge 0.0000 0.0000 0.3520
5 P 0.0012 0.2860 0.7496
6 O 0.0145 0.8150 0.1897
7 O 0.0160 0.1857 0.0884
8 O 0.0717 0.2081 0.4063
9 O 0.0716 0.2169 0.6953

Peak list (10 most intense, 2θ from 5° to 70°, most intense first)
index	2θ (°)	I (rel.)
2 -1 3	24.88	100.0
1 1 0	21.62	95.7
1 1 6	32.87	95.0
1 0 4	20.50	75.3
0 2 4	29.97	59.6
3 0 0	37.92	34.0
0 1 2	14.86	32.5
2 2 6	51.04	31.2
2 0 14	65.31	31.1
1 4 0	59.51	24.9


Simulated powder diffraction line list
Compound: NaGe2P3O12
Radiation: Cu Ka
Structure: a cell relaxed with GGA-PBE

Atomic structure:
abc: 8.3505 8.3505 21.6780
angles: 90.00 90.00 120.00
Space group R-3c (No. 167, hexagonal axes)
One atom of each set of equivalent atoms:
1 Na 0.0000 0.0000 0.0000
2 Ge 0.0000 0.0000 0.1453
3 P 0.0000 0.2855 0.2500
4 O 0.0302 0.1887 0.9107
5 O 0.0373 0.2052 0.1914

Peak list (10 most intense, 2θ from 5° to 70°, most intense first)
index	2θ (°)	I (rel.)
1 1 3	24.63	100.0
1 1 0	21.28	95.3
1 1 6	32.78	79.5
1 0 4	20.48	69.5
0 2 4	29.70	59.1
3 0 0	37.30	33.4
2 2 6	50.49	33.0
0 1 2	14.73	26.3
4 1 0	58.49	25.1
1 2 8	47.23	22.2


What did the first record say?
Simulated powder diffraction line list
Compound: Na4GeO4
Radiation: Cu Ka
Structure: a cell relaxed with GGA-PBE

Atomic structure:
abc: 5.7500 5.7667 8.7024
angles: 81.57 71.40 68.18
Space group P-1 (No. 2)
One atom of each set of equivalent atoms:
1 Na 0.0199 0.2649 0.4344
2 Na 0.1087 0.7279 0.1795
3 Na 0.2593 0.2434 0.0121
4 Na 0.4466 0.2419 0.6023
5 Ge 0.3433 0.7218 0.7562
6 O 0.1415 0.5314 0.8051
7 O 0.2044 0.9734 0.6258
8 O 0.3371 0.4682 0.3604
9 O 0.3525 0.8451 0.9284

Peak list (10 most intense, 2θ from 5° to 70°, most intense first)
index	2θ (°)	I (rel.)
2 0 1	33.54	100.0
1 0 1	17.59	72.9
2 2 1	37.73	72.2
-1 1 2	38.39	71.2
1 -1 3	39.73	70.6
1 1 -2	33.15	59.3
0 1 -1	20.07	49.5
1 1 0	19.40	48.5
0 1 1	19.49	46.5
1 0 -1	22.96	43.2